[1]
For LiMgSe4, DFT lattice parameters and positions (GGA-PBE) gives the computed powder diffraction line list in this record (Cu Kα).
No peak broadening, texture or thermal motion is included.

Structural model:
Cell lengths 8.201, 8.201, 8.201 Å; angles 90.00, 90.00, 90.00 degrees
Space group F-43m (No. 216)
Unique sites:
Li 0.000 0.000 0.000 (multiplicity 4)
Mg 0.250 0.250 0.750 (multiplicity 4)
Se 0.124 0.124 0.376 (multiplicity 16)

The 8 most intense peaks (2θ from 5° to 70°), by angle:
2θ 18.74, d = 4.735 Å, I 100, (1 1 1); 2θ 36.33, d = 2.473 Å, I 96, (3 1 1); 2θ 38.01, d = 2.368 Å, I 87, (2 2 2); 2θ 44.17, d = 2.050 Å, I 34, (4 0 0); 2θ 48.38, d = 1.882 Å, I 24, (3 3 1); 2θ 58.48, d = 1.578 Å, I 31, (3 3 3); 2θ 64.25, d = 1.450 Å, I 32, (4 4 0); 2θ 67.57, d = 1.386 Å, I 18, (5 3 1)

[2]
For LiMgSe, DFT lattice parameters and positions (GGA-PBE) gives the computed powder diffraction line list in this record (Cu Kα).
No peak broadening, texture or thermal motion is included.

Structural model:
Cell lengths 9.856, 10.919, 6.777 Å; angles 90.00, 129.20, 90.00 degrees
Space group Cc (No. 9)
Unique sites:
Li 0.000 0.029 0.000 (multiplicity 4)
Li 0.264 0.227 0.195 (multiplicity 4)
Mg 0.223 0.359 0.593 (multiplicity 4)
Mg 0.362 0.017 0.568 (multiplicity 4)
Se 0.248 0.418 0.975 (multiplicity 4)
Se 0.494 0.258 0.685 (multiplicity 4)

The 8 most intense peaks (2θ from 5° to 70°), by angle:
2θ 14.15, d = 6.259 Å, I 100, (1 1 0); 2θ 15.42, d = 5.747 Å, I 53, (1 1 -1); 2θ 26.37, d = 3.380 Å, I 68, (2 0 -2); 2θ 27.22, d = 3.276 Å, I 61, (1 1 1); 2θ 27.84, d = 3.205 Å, I 91, (1 3 -1); 2θ 28.52, d = 3.129 Å, I 52, (2 2 0); 2θ 28.85, d = 3.095 Å, I 56, (3 1 -1); 2θ 40.42, d = 2.231 Å, I 34, (4 2 -2)

[3]
For LiTm2MgSe4, DFT lattice parameters and positions (GGA-PBE) gives the computed powder diffraction line list in this record (Cu Kα).
No peak broadening, texture or thermal motion is included.

Structural model:
Cell lengths 6.823, 3.951, 6.932 Å; angles 90.00, 108.87, 90.00 degrees
Space group P2/m (No. 10)
Unique sites:
Li 0.000 0.000 0.000 (multiplicity 1)
Tm 0.000 0.500 0.500 (multiplicity 1)
Tm 0.500 0.000 0.500 (multiplicity 1)
Mg 0.500 0.500 0.000 (multiplicity 1)
Se 0.250 0.500 0.242 (multiplicity 2)
Se 0.254 0.000 0.762 (multiplicity 2)

The 8 most intense peaks (2θ from 5° to 70°), by angle:
2θ 13.50, d = 6.559 Å, I 64, (0 0 1); 2θ 26.48, d = 3.366 Å, I 49, (2 0 -1); 2θ 31.84, d = 2.811 Å, I 100, (1 1 1); 2θ 32.00, d = 2.797 Å, I 49, (2 0 -2); 2θ 34.77, d = 2.580 Å, I 29, (1 1 -2); 2θ 45.48, d = 1.994 Å, I 37, (1 1 -3); 2θ 46.05, d = 1.971 Å, I 36, (3 1 -1); 2θ 57.07, d = 1.614 Å, I 28, (4 0 0)

[4]
For Sr2LiMgSi3, DFT lattice parameters and positions (GGA-PBE) gives the computed powder diffraction line list in this record (Cu Kα).
No peak broadening, texture or thermal motion is included.

Structural model:
Cell lengths 4.608, 19.528, 7.182 Å; angles 90.00, 90.00, 90.00 degrees
Space group Cmc2_1 (No. 36)
Unique sites:
Sr 0.000 0.056 0.000 (multiplicity 4)
Sr 0.000 0.154 0.515 (multiplicity 4)
Li 0.000 0.308 0.301 (multiplicity 4)
Mg 0.000 0.310 0.694 (multiplicity 4)
Si 0.000 0.222 0.998 (multiplicity 4)
Si 0.000 0.447 0.834 (multiplicity 4)
Si 0.000 0.448 0.168 (multiplicity 4)

The 8 most intense peaks (2θ from 5° to 70°), by angle:
2θ 22.02, d = 4.037 Å, I 20, (0 4 1); 2θ 24.79, d = 3.591 Å, I 23, (0 0 2); 2θ 30.15, d = 2.964 Å, I 19, (0 6 1); 2θ 31.93, d = 2.803 Å, I 63, (1 1 2); 2θ 32.54, d = 2.752 Å, I 100, (1 5 1); 2θ 39.09, d = 2.304 Å, I 25, (2 0 0); 2θ 42.04, d = 2.149 Å, I 21, (0 4 3); 2θ 66.73, d = 1.402 Å, I 16, (3 5 1)

[5]
For LiSm2Mg3, DFT lattice parameters and positions (GGA-PBE) gives the computed powder diffraction line list in this record (Cu Kα).
No peak broadening, texture or thermal motion is included.

Structural model:
Cell lengths 6.1176, 6.1176, 9.7175 Å; angles 90.00, 90.00, 120.00 degrees
Space group P6_3/mmc (No. 194)
Unique sites:
Li 0.0000 0.0000 0.0000 (multiplicity 2)
Sm 0.3333 0.6667 0.0706 (multiplicity 4)
Mg 0.1691 0.3381 0.7500 (multiplicity 6)

The 8 most intense peaks (2θ from 5° to 70°), by angle:
2θ 16.73, d = 5.298 Å, I 58, (1 0 0); 2θ 19.08, d = 4.652 Å, I 37, (1 0 1); 2θ 24.86, d = 3.581 Å, I 27, (1 0 2); 2θ 29.20, d = 3.059 Å, I 67, (1 1 0); 2θ 32.40, d = 2.764 Å, I 100, (1 0 3); 2θ 34.65, d = 2.589 Å, I 54, (1 1 2); 2θ 35.11, d = 2.556 Å, I 34, (2 0 1); 2θ 53.82, d = 1.703 Å, I 47, (2 1 3)

[6]
For LiSm2Mg7, DFT lattice parameters and positions (GGA-PBE) gives the computed powder diffraction line list in this record (Cu Kα).
No peak broadening, texture or thermal motion is included.

Structural model:
Cell lengths 10.111, 10.111, 10.111 Å; angles 90.00, 90.00, 90.00 degrees
Space group Fm-3m (No. 225)
Unique sites:
Li 0.000 0.000 0.000 (multiplicity 4)
Sm 0.250 0.250 0.250 (multiplicity 8)
Mg 0.000 0.000 0.238 (multiplicity 24)
Mg 0.000 0.000 0.500 (multiplicity 4)

The 8 most intense peaks (2θ from 5° to 70°), by angle:
2θ 17.54, d = 5.056 Å, I 66, (2 0 0); 2θ 24.91, d = 3.575 Å, I 100, (2 2 0); 2θ 30.63, d = 2.919 Å, I 90, (2 2 2); 2θ 35.51, d = 2.528 Å, I 59, (4 0 0); 2θ 39.87, d = 2.261 Å, I 36, (4 2 0); 2θ 43.87, d = 2.064 Å, I 44, (4 2 2); 2θ 51.10, d = 1.787 Å, I 41, (4 4 0); 2θ 60.76, d = 1.524 Å, I 37, (6 2 2)

[7]
For Li5Sm2Mg12, DFT lattice parameters and positions (GGA-PBE) gives the computed powder diffraction line list in this record (Cu Kα).
No peak broadening, texture or thermal motion is included.

Structural model:
Cell lengths 10.1236, 10.1236, 14.9359 Å; angles 90.00, 90.00, 120.00 degrees
Space group R-3m (No. 166, hexagonal axes)
Unique sites:
Li 0.0000 0.0000 0.0979 (multiplicity 6)
Li 0.0000 0.5000 0.5000 (multiplicity 9)
Sm 0.0000 0.0000 0.3457 (multiplicity 6)
Mg 0.0000 0.3024 0.0000 (multiplicity 18)
Mg 0.0058 0.5029 0.8475 (multiplicity 18)

The 8 most intense peaks (2θ from 5° to 70°), by angle:
2θ 11.70, d = 7.561 Å, I 80, (1 0 1); 2θ 17.52, d = 5.062 Å, I 38, (1 1 0); 2θ 25.09, d = 3.549 Å, I 77, (1 1 3); 2θ 27.57, d = 3.235 Å, I 36, (2 1 1); 2θ 30.59, d = 2.922 Å, I 50, (3 0 0); 2θ 31.47, d = 2.843 Å, I 40, (0 2 4); 2θ 35.47, d = 2.531 Å, I 37, (2 2 0); 2θ 35.62, d = 2.520 Å, I 100, (3 0 3)

[8]
For Li2Tb2SmMg5, DFT lattice parameters and positions (GGA-PBE) gives the computed powder diffraction line list in this record (Cu Kα).
No peak broadening, texture or thermal motion is included.

Structural model:
Cell lengths 10.644, 10.644, 4.417 Å; angles 90.00, 90.00, 90.00 degrees
Space group P4/mbm (No. 127)
Unique sites:
Li 0.114 0.386 0.000 (multiplicity 4)
Tb 0.180 0.680 0.000 (multiplicity 4)
Sm 0.000 0.000 0.000 (multiplicity 2)
Mg 0.000 0.500 0.500 (multiplicity 2)
Mg 0.063 0.216 0.500 (multiplicity 8)

The 8 most intense peaks (2θ from 5° to 70°), by angle:
2θ 18.64, d = 4.760 Å, I 64, (2 1 0); 2θ 20.10, d = 4.417 Å, I 47, (0 0 1); 2θ 26.48, d = 3.366 Å, I 45, (3 1 0); 2θ 27.55, d = 3.238 Å, I 86, (2 1 1); 2θ 31.23, d = 2.864 Å, I 55, (2 2 1); 2θ 33.47, d = 2.677 Å, I 100, (3 1 1); 2θ 34.75, d = 2.581 Å, I 49, (4 1 0); 2θ 54.39, d = 1.687 Å, I 34, (5 3 1)

[9]
For Li2Sm2TmMg5, DFT lattice parameters and positions (GGA-PBE) gives the computed powder diffraction line list in this record (Cu Kα).
No peak broadening, texture or thermal motion is included.

Structural model:
Cell lengths 10.574, 10.574, 4.470 Å; angles 90.00, 90.00, 90.00 degrees
Space group P4/mbm (No. 127)
Unique sites:
Li 0.114 0.386 0.000 (multiplicity 4)
Sm 0.181 0.681 0.000 (multiplicity 4)
Tm 0.000 0.000 0.000 (multiplicity 2)
Mg 0.000 0.500 0.500 (multiplicity 2)
Mg 0.063 0.212 0.500 (multiplicity 8)

The 8 most intense peaks (2θ from 5° to 70°), by angle:
2θ 18.76, d = 4.729 Å, I 52, (2 1 0); 2θ 19.86, d = 4.470 Å, I 45, (0 0 1); 2θ 26.66, d = 3.344 Å, I 44, (3 1 0); 2θ 27.46, d = 3.248 Å, I 72, (2 1 1); 2θ 31.19, d = 2.868 Å, I 55, (2 2 1); 2θ 33.47, d = 2.677 Å, I 100, (3 1 1); 2θ 34.99, d = 2.565 Å, I 41, (4 1 0); 2θ 54.62, d = 1.680 Å, I 32, (5 3 1)

[10]
For Li6MgSn5, DFT lattice parameters and positions (GGA-PBE) gives the computed powder diffraction line list in this record (Cu Kα).
No peak broadening, texture or thermal motion is included.

Structural model:
Cell lengths 4.521, 7.907, 13.610 Å; angles 90.00, 90.00, 90.00 degrees
Space group Immm (No. 71)
Unique sites:
Li 0.000 0.238 0.000 (multiplicity 4)
Li 0.000 0.257 0.329 (multiplicity 8)
Mg 0.000 0.000 0.500 (multiplicity 2)
Sn 0.000 0.000 0.171 (multiplicity 4)
Sn 0.000 0.500 0.156 (multiplicity 4)
Sn 0.000 0.500 0.500 (multiplicity 2)

The 8 most intense peaks (2θ from 5° to 70°), by angle:
2θ 22.49, d = 3.954 Å, I 69, (0 2 0); 2θ 27.86, d = 3.202 Å, I 80, (1 0 3); 2θ 36.09, d = 2.488 Å, I 100, (1 2 3); 2θ 39.74, d = 2.268 Å, I 18, (0 0 6); 2θ 39.88, d = 2.260 Å, I 19, (2 0 0); 2θ 46.14, d = 1.967 Å, I 21, (0 2 6); 2θ 46.27, d = 1.962 Å, I 22, (2 2 0); 2θ 54.55, d = 1.682 Å, I 26, (1 4 3)

[11]
For Li2Mg5Sn5, DFT lattice parameters and positions (GGA-PBE) gives the computed powder diffraction line list in this record (Cu Kα).
No peak broadening, texture or thermal motion is included.

Structural model:
Cell lengths 13.449, 4.939, 9.088 Å; angles 90.00, 106.55, 90.00 degrees
Space group C2/m (No. 12)
Unique sites:
Li 0.134 0.000 0.294 (multiplicity 4)
Mg 0.000 0.500 0.000 (multiplicity 2)
Mg 0.128 0.500 0.523 (multiplicity 4)
Mg 0.208 0.500 0.894 (multiplicity 4)
Sn 0.000 0.000 0.500 (multiplicity 2)
Sn 0.079 0.000 0.880 (multiplicity 4)
Sn 0.250 0.000 0.711 (multiplicity 4)

The 8 most intense peaks (2θ from 5° to 70°), by angle:
2θ 19.26, d = 4.609 Å, I 95, (1 1 0); 2θ 22.72, d = 3.915 Å, I 68, (1 1 1); 2θ 27.79, d = 3.210 Å, I 77, (2 0 2); 2θ 29.93, d = 2.985 Å, I 54, (2 0 -3); 2θ 36.38, d = 2.470 Å, I 64, (0 2 0); 2θ 36.85, d = 2.439 Å, I 81, (3 1 -3); 2θ 37.99, d = 2.368 Å, I 62, (3 1 2); 2θ 38.10, d = 2.362 Å, I 100, (5 1 -1)

[12]
For Li8Mg2Sn, DFT lattice parameters and positions (GGA-PBE) gives the computed powder diffraction line list in this record (Cu Kα).
No peak broadening, texture or thermal motion is included.

Structural model:
Cell lengths 7.546, 14.070, 4.924 Å; angles 90.00, 124.26, 90.00 degrees
Space group C2/m (No. 12)
Unique sites:
Li 0.000 0.201 0.000 (multiplicity 4)
Li 0.084 0.500 0.799 (multiplicity 4)
Li 0.214 0.109 0.675 (multiplicity 8)
Mg 0.000 0.308 0.500 (multiplicity 4)
Sn 0.000 0.000 0.000 (multiplicity 2)

The 8 most intense peaks (2θ from 5° to 70°), by angle:
2θ 12.58, d = 7.035 Å, I 58, (0 2 0); 2θ 15.54, d = 5.702 Å, I 94, (1 1 0); 2θ 19.20, d = 4.624 Å, I 100, (1 1 -1); 2θ 23.74, d = 3.748 Å, I 79, (1 3 0); 2θ 25.29, d = 3.522 Å, I 95, (0 2 1); 2θ 27.45, d = 3.249 Å, I 53, (2 2 -1); 2θ 36.84, d = 2.440 Å, I 48, (1 5 -1); 2θ 38.58, d = 2.334 Å, I 41, (2 4 0)

[13]
For Li4MgSn2, DFT lattice parameters and positions (GGA-PBE) gives the computed powder diffraction line list in this record (Cu Kα).
No peak broadening, texture or thermal motion is included.

Structural model:
Cell lengths 7.246, 5.173, 8.424 Å; angles 90.00, 114.78, 90.00 degrees
Space group P2_1/m (No. 11)
Unique sites:
Li 0.071 0.250 0.422 (multiplicity 2)
Li 0.197 0.008 0.111 (multiplicity 4)
Li 0.369 0.750 0.516 (multiplicity 2)
Mg 0.365 0.750 0.883 (multiplicity 2)
Sn 0.056 0.250 0.767 (multiplicity 2)
Sn 0.440 0.250 0.722 (multiplicity 2)

The 8 most intense peaks (2θ from 5° to 70°), by angle:
2θ 20.73, d = 4.285 Å, I 100, (0 1 1); 2θ 23.26, d = 3.824 Å, I 38, (0 0 2); 2θ 27.37, d = 3.259 Å, I 20, (2 0 -2); 2θ 30.12, d = 2.967 Å, I 39, (2 1 -1); 2θ 34.68, d = 2.587 Å, I 21, (0 2 0); 2θ 38.59, d = 2.333 Å, I 28, (2 1 -3); 2θ 39.40, d = 2.287 Å, I 25, (0 1 3); 2θ 42.18, d = 2.143 Å, I 17, (0 2 2)